For La2MgAl, a crystal structure in the Materials Project, relaxed with GGA-PBE gives the calculated powder XRD pattern in this record (Cu Kα, 1.54184 Å).

Structural model:
a b c (Å): 5.4637 5.4637 5.4637
angles (deg): 60.00 60.00 60.00
Element x y z (fractional)
La 0.2500 0.2500 0.2500
La 0.7500 0.7500 0.7500
Mg 0.0000 0.0000 0.0000
Al 0.5000 0.5000 0.5000

The 10 most intense peaks (10 to 90 degrees two-theta), by angle:
23.02 deg, I = 55; 32.78 deg, I = 100; 40.44 deg, I = 17; 47.04 deg, I = 18; 53.00 deg, I = 24; 58.52 deg, I = 37; 68.72 deg, I = 11; 73.54 deg, I = 11; 78.25 deg, I = 16; 82.88 deg, I = 7